# 1
Computed powder diffractogram of TbDyTlTe for Cu Kα (λ = 1.5418 Å), from a cell relaxed with PBE.
Intensities are scaled so that the largest is 100.

Atomic structure:
```
data_TbDyTlTe
_cell_length_a 4.3878
_cell_length_b 4.3878
_cell_length_c 6.2250
_cell_angle_alpha 90.00
_cell_angle_beta 90.00
_cell_angle_gamma 90.00
_space_group_name_H-M_alt 'P 4/m m m'
_space_group_IT_number 123
_space_group_name_Hall '-P 4 2'
loop_
_atom_site_label
_atom_site_type_symbol
_atom_site_fract_x
_atom_site_fract_y
_atom_site_fract_z
Tb1 Tb 0.0000 0.0000 0.0000
Dy1 Dy 0.5000 0.5000 0.5000
Tl1 Tl 0.5000 0.5000 0.0000
Te1 Te 0.0000 0.0000 0.5000
```

Peak list (10 most intense, 15° ≤ 2θ ≤ 90°, by angle)
hkl 1 1 0, 3.106 Å, intensity 100
hkl 2 0 0, 2.196 Å, intensity 77
hkl 2 0 2, 1.793 Å, intensity 28
hkl 0 0 4, 1.556 Å, intensity 4
hkl 2 2 0, 1.551 Å, intensity 9
hkl 1 1 4, 1.391 Å, intensity 12
hkl 3 1 0, 1.388 Å, intensity 24
hkl 2 0 4, 1.269 Å, intensity 9
hkl 3 1 2, 1.267 Å, intensity 18
hkl 2 2 4, 1.099 Å, intensity 6

# 2
Computed powder diffractogram of Al3Pb for Cu Kα (λ = 1.5418 Å), from a cell relaxed with PBE.
Intensities are scaled so that the largest is 100.

Atomic structure:
```
data_Al3Pb
_cell_length_a 4.5082
_cell_length_b 4.5227
_cell_length_c 8.2499
_cell_angle_alpha 90.00
_cell_angle_beta 90.00
_cell_angle_gamma 90.00
_space_group_name_H-M_alt 'C m m m'
_space_group_IT_number 65
_space_group_name_Hall '-C 2 2'
loop_
_atom_site_label
_atom_site_type_symbol
_atom_site_fract_x
_atom_site_fract_y
_atom_site_fract_z
Al1 Al 0.0000 0.0000 0.0000
Al2 Al 0.0000 0.5000 0.2082
Pb1 Pb 0.0000 0.0000 0.5000
```

Peak list (10 most intense, 15° ≤ 2θ ≤ 90°, by angle)
hkl 0 0 2, 4.125 Å, intensity 37
hkl 1 1 0, 3.193 Å, intensity 37
hkl 1 1 1, 2.978 Å, intensity 73
hkl 0 0 3, 2.750 Å, intensity 19
hkl 1 1 2, 2.525 Å, intensity 100
hkl 0 2 0, 2.261 Å, intensity 19
hkl 2 0 0, 2.254 Å, intensity 19
hkl 1 1 4, 1.732 Å, intensity 18
hkl 2 0 4, 1.523 Å, intensity 19
hkl 2 2 4, 1.263 Å, intensity 18

What did the first record say?
Computed powder diffractogram of TbDyTlTe for Cu Kα (λ = 1.5418 Å), from a cell relaxed with PBE.
Intensities are scaled so that the largest is 100.

Atomic structure:
```
data_TbDyTlTe
_cell_length_a 4.3878
_cell_length_b 4.3878
_cell_length_c 6.2250
_cell_angle_alpha 90.00
_cell_angle_beta 90.00
_cell_angle_gamma 90.00
_space_group_name_H-M_alt 'P 4/m m m'
_space_group_IT_number 123
_space_group_name_Hall '-P 4 2'
loop_
_atom_site_label
_atom_site_type_symbol
_atom_site_fract_x
_atom_site_fract_y
_atom_site_fract_z
Tb1 Tb 0.0000 0.0000 0.0000
Dy1 Dy 0.5000 0.5000 0.5000
Tl1 Tl 0.5000 0.5000 0.0000
Te1 Te 0.0000 0.0000 0.5000
```

Peak list (10 most intense, 15° ≤ 2θ ≤ 90°, by angle)
hkl 1 1 0, 3.106 Å, intensity 100
hkl 2 0 0, 2.196 Å, intensity 77
hkl 2 0 2, 1.793 Å, intensity 28
hkl 0 0 4, 1.556 Å, intensity 4
hkl 2 2 0, 1.551 Å, intensity 9
hkl 1 1 4, 1.391 Å, intensity 12
hkl 3 1 0, 1.388 Å, intensity 24
hkl 2 0 4, 1.269 Å, intensity 9
hkl 3 1 2, 1.267 Å, intensity 18
hkl 2 2 4, 1.099 Å, intensity 6